For NpFe2PbO8, a cell relaxed with GGA+U gives the computed powder XRD pattern in this record (λ = 1.5418 Å (Cu Kα)).

Lattice parameters (Å, degrees): 5.7561 5.7561 7.1021 90.00 90.00 120.00
Space group P-3m1 (No. 164)
Symmetry-distinct sites (fractional):
Np (0.0000, 0.0000, 0.0000) [1 per cell]
Fe (0.3333, 0.6667, 0.7227) [2 per cell]
Pb (0.0000, 0.0000, 0.5000) [1 per cell]
O (0.1561, 0.3123, 0.8199) [6 per cell]
O (0.3333, 0.6667, 0.4730) [2 per cell]

Largest 10 diffraction maxima, sorted by position, 2θ from 15° to 90°:
2θ (°), Rel. int.
17.79, 100
21.78, 17
30.92, 77
31.07, 56
40.34, 26
44.41, 36
48.31, 15
55.21, 45
61.35, 16
73.51, 14